For MgMnAu2O6, a DFT-relaxed cell (GGA+U, Alexandria) gives the simulated powder X-ray diffraction pattern in this record (Cu Kα X-rays).
Lines closer than 0.1° are merged.

Main lines, by angle (5° ≤ 2θ ≤ 70°):
- d = 5.069 Å, 2θ 17.49, rel. 73
- d = 4.799 Å, 2θ 18.49, rel. 39
- d = 3.492 Å, 2θ 25.51, rel. 100
- d = 2.990 Å, 2θ 29.88, rel. 87
- d = 2.774 Å, 2θ 32.27, rel. 61
- d = 2.546 Å, 2θ 35.25, rel. 29
- d = 2.535 Å, 2θ 35.41, rel. 22
- d = 2.170 Å, 2θ 41.62, rel. 39
- d = 2.134 Å, 2θ 42.35, rel. 20
- d = 1.911 Å, 2θ 47.57, rel. 22

Crystal structure
```
MgMnAu2O6
1.0
5.104 -4.799 0.000
5.104 4.799 0.000
-0.599 0.000 5.093
Mg Mn Au O
2 2 4 12
direct
0.077 0.923 0.750
0.923 0.077 0.250
0.262 0.738 0.250
0.738 0.262 0.750
0.109 0.424 0.755
0.424 0.109 0.255
0.576 0.891 0.745
0.891 0.576 0.245
0.009 0.200 0.923
0.110 0.659 0.532
0.200 0.009 0.423
0.294 0.503 0.058
0.341 0.890 0.968
0.497 0.706 0.442
0.503 0.294 0.558
0.659 0.110 0.032
0.706 0.497 0.942
0.800 0.991 0.577
0.890 0.341 0.468
0.991 0.800 0.077
```